Diffraction record for Fe9Cu3O16. The powder diffractogram is simulated, not measured: it uses the GGA+U geometry in Alexandria and a wavelength of 1.5418 Å.
No peak broadening, texture or thermal motion is included.

Structural model:
```
data_Fe9Cu3O16
_cell_length_a 5.961
_cell_length_b 5.993
_cell_length_c 8.291
_cell_angle_alpha 90.65
_cell_angle_beta 90.29
_cell_angle_gamma 91.89
_space_group_name_H-M_alt 'P -1'
_space_group_IT_number 2
_space_group_name_Hall '-P 1'
loop_
_atom_site_label
_atom_site_fract_x
_atom_site_fract_y
_atom_site_fract_z
_atom_site_occupancy
Fe1 0.000 0.000 0.000 1
Fe2 0.000 0.500 0.500 1
Fe3 0.240 0.019 0.622 1
Fe4 0.245 0.752 0.250 1
Fe5 0.255 0.489 0.874 1
Fe6 0.500 0.000 0.000 1
Cu1 0.251 0.252 0.251 1
Cu2 0.500 0.500 0.500 1
O1 0.002 0.522 0.262 1
O2 0.018 0.985 0.235 1
O3 0.225 0.754 0.488 1
O4 0.240 0.284 0.491 1
O5 0.240 0.767 0.007 1
O6 0.247 0.222 0.006 1
O7 0.473 0.519 0.246 1
O8 0.493 0.979 0.245 1
```

Top 10 peaks for 2θ from 10° to 80°, by angle:
2θ 18.35, I = 38, hkl 0 1 1; 2θ 29.87, I = 33, hkl 1 -1 2; 2θ 30.01, I = 33, hkl 2 0 0; 2θ 34.72, I = 33, hkl 1 -2 1; 2θ 34.91, I = 99, hkl -1 2 1; 2θ 35.58, I = 56, hkl 1 2 -1; 2θ 35.71, I = 56, hkl 1 0 -3; 2θ 35.87, I = 100, hkl 1 0 3; 2θ 35.95, I = 33, hkl 0 1 3; 2θ 62.37, I = 55, hkl 4 0 0


Diffraction record for FeCu3P4O16. The powder diffractogram is simulated, not measured: it uses the GGA+U geometry in Alexandria and a wavelength of 1.5418 Å.
No peak broadening, texture or thermal motion is included.

Structural model:
```
data_FeCu3P4O16
_cell_length_a 5.182
_cell_length_b 6.003
_cell_length_c 10.088
_cell_angle_alpha 90.00
_cell_angle_beta 93.23
_cell_angle_gamma 90.00
_space_group_name_H-M_alt 'P 1 m 1'
_space_group_IT_number 6
_space_group_name_Hall 'P -2y'
loop_
_atom_site_label
_atom_site_fract_x
_atom_site_fract_y
_atom_site_fract_z
_atom_site_occupancy
Fe1 0.000 0.000 0.000 1
Cu1 0.178 0.500 0.605 1
Cu2 0.391 0.500 0.102 1
Cu3 0.682 0.000 0.476 1
P1 0.125 0.000 0.683 1
P2 0.485 0.000 0.180 1
P3 0.593 0.500 0.405 1
P4 0.972 0.500 0.893 1
O1 0.175 0.000 0.834 1
O2 0.265 0.199 0.618 1
O3 0.270 0.500 0.927 1
O4 0.304 0.500 0.434 1
O5 0.315 0.191 0.111 1
O6 0.447 0.000 0.331 1
O7 0.610 0.500 0.252 1
O8 0.752 0.303 0.467 1
O9 0.768 0.000 0.151 1
O10 0.830 0.000 0.650 1
O11 0.842 0.292 0.950 1
O12 0.947 0.500 0.739 1
```

Top 10 peaks for 2θ from 10° to 80°, by angle:
2θ 17.61, I = 63, hkl 0 0 2; 2θ 18.84, I = 100, hkl 1 0 -1; 2θ 19.73, I = 48, hkl 1 0 1; 2θ 23.96, I = 44, hkl 1 0 -2; 2θ 24.73, I = 24, hkl 1 1 1; 2θ 29.47, I = 25, hkl 1 1 2; 2θ 29.76, I = 74, hkl 0 2 0; 2θ 35.46, I = 29, hkl 1 2 -1; 2θ 35.96, I = 32, hkl 1 1 3; 2θ 56.96, I = 24, hkl 0 1 6


Diffraction record for Fe2CuP4O14. The powder diffractogram is simulated, not measured: it uses the GGA+U geometry in Alexandria and a wavelength of 1.5418 Å.
No peak broadening, texture or thermal motion is included.

Structural model:
```
data_Fe2CuP4O14
_cell_length_a 6.698
_cell_length_b 5.255
_cell_length_c 16.970
_cell_angle_alpha 90.00
_cell_angle_beta 110.93
_cell_angle_gamma 90.00
_space_group_name_H-M_alt 'P 1 21/c 1'
_space_group_IT_number 14
_space_group_name_Hall '-P 2ybc'
loop_
_atom_site_label
_atom_site_fract_x
_atom_site_fract_y
_atom_site_fract_z
_atom_site_occupancy
Fe1 0.216 0.248 0.381 1
Cu1 0.000 0.000 0.500 1
P1 0.115 0.248 0.168 1
P2 0.450 0.230 0.094 1
O1 0.014 0.525 0.381 1
O2 0.034 0.503 0.119 1
O3 0.129 0.224 0.758 1
O4 0.257 0.204 0.512 1
O5 0.356 0.223 0.170 1
O6 0.379 0.568 0.883 1
O7 0.472 0.038 0.911 1
```

Top 10 peaks for 2θ from 10° to 80°, by angle:
2θ 11.17, I = 19, hkl 0 0 2; 2θ 14.16, I = 17, hkl 1 0 0; 2θ 17.78, I = 10, hkl 0 1 1; 2θ 21.50, I = 11, hkl 1 1 -1; 2θ 22.09, I = 100, hkl 1 1 0; 2θ 22.43, I = 32, hkl 0 0 4; 2θ 24.04, I = 11, hkl 1 1 1; 2θ 31.70, I = 52, hkl 1 0 -6; 2θ 35.25, I = 10, hkl 1 1 4; 2θ 45.06, I = 12, hkl 2 2 0


Diffraction record for Fe3CuP4O16. The powder diffractogram is simulated, not measured: it uses the GGA+U geometry in Alexandria and a wavelength of 1.5418 Å.
No peak broadening, texture or thermal motion is included.

Structural model:
```
data_Fe3CuP4O16
_cell_length_a 4.931
_cell_length_b 5.950
_cell_length_c 10.023
_cell_angle_alpha 90.00
_cell_angle_beta 92.58
_cell_angle_gamma 90.00
_space_group_name_H-M_alt 'P 1 m 1'
_space_group_IT_number 6
_space_group_name_Hall 'P -2y'
loop_
_atom_site_label
_atom_site_fract_x
_atom_site_fract_y
_atom_site_fract_z
_atom_site_occupancy
Fe1 0.000 0.000 0.000 1
Fe2 0.091 0.500 0.566 1
Fe3 0.588 0.000 0.515 1
Cu1 0.412 0.500 0.095 1
P1 0.154 0.000 0.691 1
P2 0.478 0.000 0.187 1
P3 0.621 0.500 0.390 1
P4 0.953 0.500 0.890 1
O1 0.222 0.000 0.840 1
O2 0.267 0.500 0.923 1
O3 0.294 0.201 0.616 1
O4 0.311 0.195 0.114 1
O5 0.318 0.500 0.413 1
O6 0.421 0.000 0.336 1
O7 0.664 0.500 0.239 1
O8 0.777 0.000 0.161 1
O9 0.779 0.300 0.462 1
O10 0.823 0.288 0.949 1
O11 0.846 0.000 0.664 1
O12 0.927 0.500 0.736 1
```

Top 10 peaks for 2θ from 10° to 80°, by angle:
2θ 17.72, I = 79, hkl 0 0 2; 2θ 19.72, I = 81, hkl 1 0 -1; 2θ 20.45, I = 41, hkl 1 0 1; 2θ 24.79, I = 52, hkl 1 0 -2; 2θ 25.39, I = 51, hkl 1 1 1; 2θ 30.04, I = 100, hkl 0 2 0; 2θ 35.19, I = 31, hkl 1 1 -3; 2θ 36.19, I = 27, hkl 1 2 -1; 2θ 36.46, I = 45, hkl 1 1 3; 2θ 57.34, I = 24, hkl 0 1 6


Diffraction record for Fe3Cu2SnP6O24. The powder diffractogram is simulated, not measured: it uses the GGA+U geometry in Alexandria and a wavelength of 1.5418 Å.
No peak broadening, texture or thermal motion is included.

Structural model:
```
data_Fe3Cu2SnP6O24
_cell_length_a 8.6717
_cell_length_b 8.6717
_cell_length_c 20.9085
_cell_angle_alpha 90.00
_cell_angle_beta 90.00
_cell_angle_gamma 120.00
_space_group_name_H-M_alt 'R 3'
_space_group_IT_number 146
_space_group_name_Hall 'R 3'
loop_
_atom_site_label
_atom_site_fract_x
_atom_site_fract_y
_atom_site_fract_z
_atom_site_occupancy
Fe1 0.0000 0.0000 0.0000 1
Fe2 0.0000 0.0000 0.2103 1
Fe3 0.0000 0.0000 0.7116 1
Cu1 0.0000 0.0000 0.3511 1
Cu2 0.0000 0.0000 0.8555 1
Sn1 0.0000 0.0000 0.4983 1
P1 0.0011 0.7023 0.6059 1
P2 0.0417 0.3710 0.7721 1
O1 0.0039 0.8072 0.6645 1
O2 0.0065 0.2007 0.1662 1
O3 0.0095 0.8313 0.2791 1
O4 0.0148 0.1800 0.7797 1
O5 0.1305 0.6710 0.2100 1
O6 0.1421 0.4654 0.7118 1
O7 0.1664 0.4832 0.0964 1
O8 0.1690 0.6816 0.5984 1
```

Top 10 peaks for 2θ from 10° to 80°, by angle:
2θ 20.48, I = 100, hkl 1 1 0; 2θ 20.70, I = 15, hkl 1 0 4; 2θ 24.17, I = 77, hkl 1 1 3; 2θ 32.98, I = 72, hkl 2 -1 6; 2θ 35.87, I = 43, hkl 3 0 0; 2θ 47.28, I = 31, hkl 1 2 8; 2θ 49.52, I = 28, hkl 4 -2 6; 2θ 56.13, I = 29, hkl 4 1 0; 2θ 56.50, I = 15, hkl 3 1 8; 2θ 62.64, I = 22, hkl 5 -1 6


Diffraction record for Ti3Fe2CuP6O24. The powder diffractogram is simulated, not measured: it uses the GGA+U geometry in Alexandria and a wavelength of 1.5418 Å.
No peak broadening, texture or thermal motion is included.

Structural model:
```
data_Ti3Fe2CuP6O24
_cell_length_a 8.6718
_cell_length_b 8.6718
_cell_length_c 20.7234
_cell_angle_alpha 90.00
_cell_angle_beta 90.00
_cell_angle_gamma 120.00
_space_group_name_H-M_alt 'R 3'
_space_group_IT_number 146
_space_group_name_Hall 'R 3'
loop_
_atom_site_label
_atom_site_fract_x
_atom_site_fract_y
_atom_site_fract_z
_atom_site_occupancy
Ti1 0.0000 0.0000 0.0000 1
Ti2 0.0000 0.0000 0.2131 1
Ti3 0.0000 0.0000 0.7093 1
Fe1 0.0000 0.0000 0.3586 1
Fe2 0.0000 0.0000 0.8563 1
Cu1 0.0000 0.0000 0.4992 1
P1 0.0396 0.3722 0.2693 1
P2 0.0421 0.6697 0.7720 1
O1 0.0006 0.8116 0.1664 1
O2 0.0020 0.2066 0.5406 1
O3 0.0042 0.1885 0.6633 1
O4 0.0215 0.8376 0.7793 1
O5 0.0221 0.1849 0.2795 1
O6 0.1624 0.4882 0.6015 1
O7 0.1621 0.6926 0.7132 1
O8 0.1645 0.6941 0.0940 1
```

Top 10 peaks for 2θ from 10° to 80°, by angle:
2θ 20.48, I = 77, hkl 1 1 0; 2θ 24.24, I = 100, hkl 2 -1 3; 2θ 25.23, I = 17, hkl 2 0 2; 2θ 31.82, I = 15, hkl 3 -1 1; 2θ 33.16, I = 69, hkl 2 -1 6; 2θ 35.87, I = 34, hkl 3 0 0; 2θ 47.52, I = 29, hkl 3 -2 8; 2θ 49.65, I = 25, hkl 2 2 6; 2θ 56.12, I = 22, hkl 1 4 0; 2θ 62.76, I = 18, hkl 4 1 6


Diffraction record for Ti3FeCu2P6O24. The powder diffractogram is simulated, not measured: it uses the GGA+U geometry in Alexandria and a wavelength of 1.5418 Å.
No peak broadening, texture or thermal motion is included.

Structural model:
```
data_Ti3FeCu2P6O24
_cell_length_a 8.6294
_cell_length_b 8.6294
_cell_length_c 21.0062
_cell_angle_alpha 90.00
_cell_angle_beta 90.00
_cell_angle_gamma 120.00
_space_group_name_H-M_alt 'R 3'
_space_group_IT_number 146
_space_group_name_Hall 'R 3'
loop_
_atom_site_label
_atom_site_fract_x
_atom_site_fract_y
_atom_site_fract_z
_atom_site_occupancy
Ti1 0.0000 0.0000 0.0000 1
Ti2 0.0000 0.0000 0.2144 1
Ti3 0.0000 0.0000 0.7136 1
Fe1 0.0000 0.0000 0.4993 1
Cu1 0.0000 0.0000 0.3578 1
Cu2 0.0000 0.0000 0.8577 1
P1 0.9999 0.7078 0.1068 1
P2 0.0422 0.3748 0.2727 1
O1 0.0005 0.1875 0.6663 1
O2 0.0028 0.1970 0.5457 1
O3 0.0215 0.8358 0.7782 1
O4 0.0247 0.1866 0.2784 1
O5 0.1454 0.6672 0.8336 1
O6 0.1514 0.6761 0.7142 1
O7 0.1649 0.4833 0.6044 1
O8 0.1697 0.6934 0.1003 1
```

Top 10 peaks for 2θ from 10° to 80°, by angle:
2θ 20.59, I = 88, hkl 1 1 0; 2θ 24.23, I = 100, hkl 2 -1 3; 2θ 25.30, I = 22, hkl 2 0 2; 2θ 32.95, I = 73, hkl 2 -1 6; 2θ 36.06, I = 35, hkl 3 0 0; 2θ 47.26, I = 33, hkl 1 2 8; 2θ 49.63, I = 27, hkl 2 2 6; 2θ 56.42, I = 24, hkl 1 4 0; 2θ 56.57, I = 16, hkl 3 1 8; 2θ 62.86, I = 18, hkl 4 1 6


Diffraction record for Pm2FeCuO5. The powder diffractogram is simulated, not measured: it uses the GGA+U geometry in Alexandria and a wavelength of 1.5418 Å.
No peak broadening, texture or thermal motion is included.

Structural model:
```
data_Pm2FeCuO5
_cell_length_a 6.726
_cell_length_b 6.726
_cell_length_c 5.540
_cell_angle_alpha 90.00
_cell_angle_beta 90.00
_cell_angle_gamma 90.00
_space_group_name_H-M_alt 'P 4/m b m'
_space_group_IT_number 127
_space_group_name_Hall '-P 4 2ab'
loop_
_atom_site_label
_atom_site_fract_x
_atom_site_fract_y
_atom_site_fract_z
_atom_site_occupancy
Pm1 0.177 0.323 0.000 1
Fe1 0.000 0.500 0.500 1
Cu1 0.000 0.000 0.500 1
O1 0.000 0.000 0.000 1
O2 0.132 0.632 0.257 1
```

Top 10 peaks for 2θ from 10° to 80°, by angle:
2θ 16.00, I = 47, hkl 0 0 1; 2θ 29.70, I = 33, hkl 2 1 0; 2θ 31.11, I = 100, hkl 2 0 1; 2θ 32.32, I = 37, hkl 0 0 2; 2θ 33.91, I = 84, hkl 2 1 1; 2θ 37.83, I = 23, hkl 2 2 0; 2θ 44.46, I = 57, hkl 2 1 2; 2θ 50.59, I = 19, hkl 2 2 2; 2θ 59.03, I = 25, hkl 4 1 1; 2θ 66.52, I = 18, hkl 4 1 2